Diffraction record for Ba2CaEr3Ni2O10. The X-ray diffraction stick pattern is calculated, not measured: it uses a crystal structure in Alexandria, relaxed with GGA+U and λ = 1.5418 Å (Cu Kα).
Kinematic intensities with the Lorentz-polarization factor, no thermal factor.

Principal peaks in the range 2θ = 5–70°, in order of rising 2θ:
28.30°, I 31, hkl 1 3 -1; 30.84°, I 30, hkl 2 0 -2; 31.74°, I 13, hkl 0 4 0; 32.58°, I 100, hkl 2 2 0; 40.12°, I 14, hkl 3 1 -1; 44.84°, I 18, hkl 2 4 -2; 47.02°, I 13, hkl 1 5 1; 48.59°, I 14, hkl 2 0 2; 55.95°, I 22, hkl 4 2 -2; 57.29°, I 14, hkl 3 5 -1

Structural model:
```
data_Ba2CaEr3Ni2O10
_chemical_formula_sum 'Ba4 Ca2 Er6 Ni4 O20'
_symmetry_space_group_name_H-M 'C 1 2 1'
_symmetry_Int_Tables_number 5
_cell_length_a 6.9052
_cell_length_b 11.2773
_cell_length_c 6.9043
_cell_angle_alpha 90.00
_cell_angle_beta 114.25
_cell_angle_gamma 90.00
loop_
_symmetry_equiv_pos_as_xyz
'x,y,z'
'-x,y,-z'
'x+1/2,y+1/2,z'
'-x+1/2,y+1/2,-z'
loop_
_atom_site_label
_atom_site_type_symbol
_atom_site_fract_x
_atom_site_fract_y
_atom_site_fract_z
Ba1 Ba 0.2504 0.0000 0.2475
Ca1 Ca 0.0000 0.2932 0.0000
Er1 Er 0.0000 0.2064 0.5000
Er2 Er 0.0000 0.7060 0.0000
Er3 Er 0.0000 0.7952 0.5000
Ni1 Ni 0.2498 0.4984 0.2506
O1 O 0.0000 0.0019 0.5000
O2 O 0.0000 0.5021 0.0000
O3 O 0.1172 0.8527 0.8592
O4 O 0.1312 0.6471 0.3721
O5 O 0.1366 0.1437 0.8617
O6 O 0.1404 0.3546 0.3825
```